Record 1
Theoretical powder XRD pattern of LaPaO4 for CuKα, from a DFT-relaxed cell (PBE, the Materials Project).

Atomic structure:
abc: 3.8794 3.8794 5.6527
angles: 90.00 90.00 90.00
Space group P4/mmm (No. 123)
Symmetry-distinct sites (fractional):
La 0.0000 0.0000 0.0000 (multiplicity 1)
Pa 0.5000 0.5000 0.5000 (multiplicity 1)
O 0.0000 0.5000 0.2725 (multiplicity 4)

Largest 10 diffraction maxima, low angle first, 10° ≤ 2θ ≤ 90°:
h k l, two_theta, Rel. int.
1 0 1, 27.9, 100
0 0 2, 31.7, 12
1 1 0, 32.6, 22
1 1 2, 46.1, 35
2 0 0, 46.8, 17
1 0 3, 54.1, 16
2 1 1, 55.4, 30
2 0 2, 57.6, 10
2 1 3, 74.3, 13
3 1 2, 86.5, 11



Record 2
Theoretical powder XRD pattern of Zn4P3O13 for CuKα, from a DFT-relaxed cell (PBE, the Materials Project).

Atomic structure:
abc: 5.0973 9.5934 13.4069
angles: 102.11 100.31 102.79
Space group P1 (No. 1)
Symmetry-distinct sites (fractional):
Zn 0.0000 0.0000 0.0000 (multiplicity 1)
Zn 0.0217 0.6453 0.3869 (multiplicity 1)
Zn 0.0956 0.4972 0.8140 (multiplicity 1)
Zn 0.1890 0.1837 0.2564 (multiplicity 1)
Zn 0.2600 0.0291 0.6912 (multiplicity 1)
Zn 0.2818 0.6748 0.0737 (multiplicity 1)
Zn 0.5885 0.8638 0.3323 (multiplicity 1)
Zn 0.6880 0.8091 0.7411 (multiplicity 1)
P 0.0956 0.6662 0.6305 (multiplicity 1)
P 0.1886 0.0139 0.4450 (multiplicity 1)
P 0.3934 0.5191 0.2537 (multiplicity 1)
P 0.5645 0.0119 0.1437 (multiplicity 1)
P 0.7194 0.6646 0.9319 (multiplicity 1)
P 0.8908 0.1601 0.8228 (multiplicity 1)
O 0.0711 0.2898 0.7953 (multiplicity 1)
O 0.0832 0.1153 0.3777 (multiplicity 1)
O 0.0985 0.5952 0.5166 (multiplicity 1)
O 0.1873 0.0831 0.5593 (multiplicity 1)
O 0.2027 0.5729 0.7003 (multiplicity 1)
O 0.2161 0.3903 0.2832 (multiplicity 1)
O 0.3007 0.5106 0.1358 (multiplicity 1)
O 0.3181 0.8248 0.6713 (multiplicity 1)
O 0.3479 0.6646 0.3222 (multiplicity 1)
O 0.3739 0.9755 0.0342 (multiplicity 1)
O 0.4094 0.6230 0.9410 (multiplicity 1)
O 0.4766 0.0012 0.4337 (multiplicity 1)
O 0.5170 0.8637 0.1822 (multiplicity 1)
O 0.5225 0.1348 0.2274 (multiplicity 1)
O 0.5819 0.1542 0.7963 (multiplicity 1)
O 0.6463 0.3370 0.0355 (multiplicity 1)
O 0.7038 0.5274 0.2784 (multiplicity 1)
O 0.7625 0.5407 0.8500 (multiplicity 1)
O 0.7669 0.8122 0.8923 (multiplicity 1)
O 0.8089 0.6868 0.6364 (multiplicity 1)
O 0.8749 0.0541 0.1347 (multiplicity 1)
O 0.9111 0.7039 0.0417 (multiplicity 1)
O 0.9345 0.2481 0.4869 (multiplicity 1)
O 0.9357 0.0141 0.7553 (multiplicity 1)
O 0.9710 0.8574 0.3991 (multiplicity 1)
O 0.9788 0.1672 0.9408 (multiplicity 1)

Largest 10 diffraction maxima, low angle first, 10° ≤ 2θ ≤ 90°:
h k l, two_theta, Rel. int.
0 0 2, 13.9, 51
1 0 0, 18.4, 43
0 2 0, 19.7, 47
1 0 -2, 20.3, 52
0 1 -3, 20.7, 45
1 1 -2, 23.1, 55
0 1 -4, 27.2, 37
0 3 -2, 29.3, 74
1 2 0, 30.5, 52
-2 1 1, 35.3, 100



Record 3
Theoretical powder XRD pattern of K2NaAsCl6 for CuKα, from a DFT-relaxed cell (PBE, the Materials Project).

Atomic structure:
abc: 10.4808 10.4808 10.4808
angles: 90.00 90.00 90.00
Space group Fm-3m (No. 225)
Symmetry-distinct sites (fractional):
K 0.2500 0.2500 0.2500 (multiplicity 8)
Na 0.0000 0.0000 0.0000 (multiplicity 4)
As 0.0000 0.0000 0.5000 (multiplicity 4)
Cl 0.0000 0.0000 0.2611 (multiplicity 24)

Largest 10 diffraction maxima, low angle first, 10° ≤ 2θ ≤ 90°:
h k l, two_theta, Rel. int.
1 1 1, 14.6, 33
2 0 0, 16.9, 34
2 2 0, 24.0, 41
2 2 2, 29.5, 50
4 0 0, 34.2, 100
4 2 0, 38.4, 15
4 2 2, 42.2, 17
4 4 0, 49.2, 63
4 4 4, 61.3, 20
8 4 0, 82.3, 24



Record 4
Theoretical powder XRD pattern of PuSb3 for CuKα, from a DFT-relaxed cell (PBE, the Materials Project).

Atomic structure:
abc: 4.3981 4.3981 10.4844
angles: 90.00 90.00 90.00
Space group I4/mmm (No. 139)
Symmetry-distinct sites (fractional):
Pu 0.0000 0.0000 0.0000 (multiplicity 2)
Sb 0.0000 0.0000 0.5000 (multiplicity 2)
Sb 0.0000 0.5000 0.2500 (multiplicity 4)

Largest 10 diffraction maxima, low angle first, 10° ≤ 2θ ≤ 90°:
h k l, two_theta, Rel. int.
1 0 1, 21.9, 10
1 1 2, 33.5, 100
0 0 4, 34.2, 24
2 0 0, 41.0, 29
2 0 4, 54.5, 25
2 2 0, 59.4, 10
1 1 6, 60.8, 18
3 1 2, 70.0, 24
2 2 4, 70.4, 12
2 0 8, 86.4, 7



Record 5
Theoretical powder XRD pattern of NdCuGe for CuKα, from a DFT-relaxed cell (PBE, the Materials Project).

Atomic structure:
abc: 4.2286 4.2286 4.0721
angles: 90.00 90.00 120.00
Space group P-6m2 (No. 187)
Symmetry-distinct sites (fractional):
Nd 0.0000 0.0000 0.0000 (multiplicity 1)
Cu 0.3333 0.6667 0.5000 (multiplicity 1)
Ge 0.6667 0.3333 0.5000 (multiplicity 1)

Largest 10 diffraction maxima, low angle first, 10° ≤ 2θ ≤ 90°:
h k l, two_theta, Rel. int.
1 0 0, 24.3, 12
1 0 1, 32.9, 100
1 1 0, 42.8, 43
0 0 2, 44.5, 13
2 0 1, 55.0, 23
1 1 2, 63.4, 26
2 1 1, 72.1, 20
1 0 3, 74.6, 9
3 0 0, 78.3, 7
2 0 3, 90.0, 6



Record 6
Theoretical powder XRD pattern of MnCuP for CuKα, from a DFT-relaxed cell (PBE, the Materials Project).

Atomic structure:
abc: 5.9397 3.5001 7.2470
angles: 90.00 90.00 90.00
Space group Pnma (No. 62)
Symmetry-distinct sites (fractional):
Mn 0.0325 0.2500 0.1614 (multiplicity 4)
Cu 0.1364 0.2500 0.5649 (multiplicity 4)
P 0.2464 0.2500 0.8668 (multiplicity 4)

Largest 10 diffraction maxima, low angle first, 10° ≤ 2θ ≤ 90°:
h k l, two_theta, Rel. int.
1 1 2, 38.9, 100
2 1 0, 39.8, 60
1 0 3, 40.3, 34
2 1 1, 41.8, 59
0 1 3, 45.6, 28
3 0 1, 47.6, 24
1 1 3, 48.3, 22
0 2 0, 52.3, 36
3 0 2, 52.7, 22
3 1 4, 76.3, 16



Record 7
Theoretical powder XRD pattern of BaCu2Te2Cl2O6 for CuKα, from a DFT-relaxed cell (PBE, the Materials Project).

Atomic structure:
abc: 7.5278 7.5754 8.3771
angles: 90.00 97.36 90.00
Space group P2_1 (No. 4)
Symmetry-distinct sites (fractional):
Ba 0.1362 0.0000 0.0675 (multiplicity 2)
Cu 0.3109 0.0267 0.5966 (multiplicity 2)
Cu 0.3595 0.4979 0.0851 (multiplicity 2)
Te 0.1313 0.3700 0.3926 (multiplicity 2)
Te 0.3421 0.6516 0.7661 (multiplicity 2)
Cl 0.1146 0.2606 0.7626 (multiplicity 2)
Cl 0.4536 0.7269 0.3833 (multiplicity 2)
O 0.1251 0.8429 0.6323 (multiplicity 2)
O 0.1540 0.3880 0.1681 (multiplicity 2)
O 0.1860 0.1250 0.3970 (multiplicity 2)
O 0.1994 0.6631 0.9423 (multiplicity 2)
O 0.4491 0.8864 0.7669 (multiplicity 2)
O 0.4778 0.0651 0.0676 (multiplicity 2)

Largest 10 diffraction maxima, low angle first, 10° ≤ 2θ ≤ 90°:
h k l, two_theta, Rel. int.
0 1 1, 15.8, 96
0 1 2, 24.4, 78
0 2 1, 25.9, 55
1 1 -2, 26.0, 61
2 1 0, 26.6, 100
2 1 -1, 27.6, 94
1 1 2, 28.4, 64
1 2 1, 29.1, 61
2 1 1, 29.9, 88
1 0 -3, 33.0, 52



Record 8
Theoretical powder XRD pattern of Ba9Nb2CN10O for CuKα, from a DFT-relaxed cell (PBE, the Materials Project).

Atomic structure:
abc: 8.1055 9.7664 12.7870
angles: 75.93 85.63 87.79
Space group P-1 (No. 2)
Symmetry-distinct sites (fractional):
Ba 0.0008 0.3222 0.4207 (multiplicity 2)
Ba 0.0312 0.3795 0.8721 (multiplicity 2)
Ba 0.0380 0.0702 0.7260 (multiplicity 2)
Ba 0.2333 0.2908 0.1590 (multiplicity 2)
Ba 0.2435 0.9856 0.9975 (multiplicity 2)
Ba 0.3278 0.4191 0.6176 (multiplicity 2)
Ba 0.4640 0.7610 0.6187 (multiplicity 2)
Ba 0.4835 0.9299 0.2767 (multiplicity 2)
Ba 0.4888 0.6172 0.1074 (multiplicity 2)
Nb 0.2301 0.6350 0.3365 (multiplicity 2)
Nb 0.2313 0.7031 0.8795 (multiplicity 2)
C 0.2389 0.0606 0.4657 (multiplicity 2)
N 0.0063 0.3682 0.6218 (multiplicity 2)
N 0.0421 0.8306 0.9159 (multiplicity 2)
N 0.1975 0.0760 0.3718 (multiplicity 2)
N 0.2075 0.6337 0.7475 (multiplicity 2)
N 0.2379 0.5318 0.9984 (multiplicity 2)
N 0.2579 0.7945 0.2053 (multiplicity 2)
N 0.2862 0.0549 0.5569 (multiplicity 2)
N 0.3052 0.4539 0.3011 (multiplicity 2)
N 0.3545 0.6736 0.4538 (multiplicity 2)
N 0.4401 0.8076 0.8761 (multiplicity 2)
O 0.2833 0.2006 0.8214 (multiplicity 2)

Largest 10 diffraction maxima, low angle first, 10° ≤ 2θ ≤ 90°:
h k l, two_theta, Rel. int.
0 3 1, 27.4, 54
0 1 4, 28.1, 88
0 3 0, 28.3, 32
2 -1 2, 28.6, 100
2 2 2, 29.3, 62
2 1 -2, 29.8, 47
-2 2 2, 31.4, 71
0 2 -3, 32.0, 31
2 2 3, 32.2, 36
4 0 0, 44.9, 28



Record 9
Theoretical powder XRD pattern of Mg9Si5 for CuKα, from a DFT-relaxed cell (PBE, the Materials Project).

Atomic structure:
abc: 7.3736 7.4164 12.3548
angles: 76.35 81.83 60.35
Space group P1 (No. 1)
Symmetry-distinct sites (fractional):
Mg 0.0000 0.0000 0.0000 (multiplicity 1)
Mg 0.0030 0.9879 0.6410 (multiplicity 1)
Mg 0.1645 0.5241 0.6748 (multiplicity 1)
Mg 0.2308 0.4760 0.4273 (multiplicity 1)
Mg 0.2409 0.2796 0.9995 (multiplicity 1)
Mg 0.2553 0.1151 0.3518 (multiplicity 1)
Mg 0.2702 0.5554 0.1610 (multiplicity 1)
Mg 0.3108 0.6649 0.8489 (multiplicity 1)
Mg 0.5347 0.6256 0.3172 (multiplicity 1)
Mg 0.5397 0.7571 0.9949 (multiplicity 1)
Mg 0.5934 0.1565 0.8216 (multiplicity 1)
Mg 0.6043 0.2116 0.5313 (multiplicity 1)
Mg 0.6162 0.8294 0.6774 (multiplicity 1)
Mg 0.6342 0.9766 0.1641 (multiplicity 1)
Mg 0.8476 0.4027 0.8224 (multiplicity 1)
Mg 0.8511 0.4714 0.5220 (multiplicity 1)
Mg 0.8611 0.3236 0.1665 (multiplicity 1)
Mg 0.9404 0.9126 0.3631 (multiplicity 1)
Si 0.2406 0.1729 0.6209 (multiplicity 1)
Si 0.2496 0.9511 0.1677 (multiplicity 1)
Si 0.2568 0.0782 0.8296 (multiplicity 1)
Si 0.3143 0.7411 0.5036 (multiplicity 1)
Si 0.5407 0.5096 0.6633 (multiplicity 1)
Si 0.5676 0.2412 0.3095 (multiplicity 1)
Si 0.5957 0.3402 0.9990 (multiplicity 1)
Si 0.9078 0.7457 0.8288 (multiplicity 1)
Si 0.9273 0.5641 0.3018 (multiplicity 1)
Si 0.9288 0.6634 0.0377 (multiplicity 1)

Largest 10 diffraction maxima, low angle first, 10° ≤ 2θ ≤ 90°:
h k l, two_theta, Rel. int.
1 2 4, 34.1, 60
1 -1 3, 34.5, 96
0 2 4, 37.1, 86
1 -2 0, 37.3, 100
3 1 0, 37.4, 60
1 -1 4, 40.4, 70
0 3 1, 42.1, 65
3 0 0, 42.3, 100
3 3 1, 42.5, 71
0 0 6, 45.3, 84



Record 10
Theoretical powder XRD pattern of Nb4NiS8 for CuKα, from a DFT-relaxed cell (PBE, the Materials Project).

Atomic structure:
abc: 6.6853 6.6853 11.9501
angles: 90.00 90.00 120.00
Space group P6_3/mmc (No. 194)
Symmetry-distinct sites (fractional):
Nb 0.0000 0.0000 0.2500 (multiplicity 2)
Nb 0.0120 0.5060 0.2500 (multiplicity 6)
Ni 0.0000 0.0000 0.0000 (multiplicity 2)
S 0.1674 0.3348 0.6191 (multiplicity 12)
S 0.3333 0.6667 0.1150 (multiplicity 4)

Largest 10 diffraction maxima, low angle first, 10° ≤ 2θ ≤ 90°:
h k l, two_theta, Rel. int.
0 0 2, 14.8, 69
2 0 0, 30.9, 39
2 0 1, 31.8, 18
2 0 2, 34.4, 64
2 0 3, 38.4, 14
2 0 4, 43.5, 100
2 2 0, 54.9, 36
2 0 6, 56.0, 12
4 0 4, 72.6, 20
2 2 8, 87.6, 18